Record 1
Simulated powder XRD pattern
Compound: Ti4MoIr
Radiation: CuKα
Structure: a GGA-PBE-relaxed structure

Principal peaks in the range 5° ≤ 2θ ≤ 70°, by angle:
2θ 14.7, intensity 8.4
2θ 20.6, intensity 7.8
2θ 25.4, intensity 100.0
2θ 41.9, intensity 35.8
2θ 42.1, intensity 70.6
2θ 49.7, intensity 32.2
2θ 50.0, intensity 15.8
2θ 60.8, intensity 11.4
2θ 67.0, intensity 6.6
2θ 67.3, intensity 13.0

```
Ti4MoIr
1.0
4.309 0.000 0.000
0.000 4.309 0.000
0.000 0.000 6.040
Ti Mo Ir
4 1 1
direct
0.000 0.500 0.249
0.000 0.500 0.751
0.500 0.000 0.249
0.500 0.000 0.751
0.000 0.000 0.500
0.500 0.500 0.000
```

***

Record 2
Simulated powder XRD pattern
Compound: PmH2Au2
Radiation: CuKα
Structure: a GGA-PBE-relaxed structure

Principal peaks in the range 5° ≤ 2θ ≤ 70°, by angle:
2θ 23.5, intensity 51.8
2θ 31.7, intensity 46.0
2θ 32.0, intensity 92.6
2θ 32.3, intensity 100.0
2θ 32.4, intensity 47.3
2θ 37.4, intensity 80.2
2θ 37.7, intensity 78.4
2θ 38.5, intensity 73.9
2θ 48.0, intensity 39.7
2θ 51.0, intensity 36.0

```
PmH2Au2
1.0
3.792 0.000 0.000
-0.036 4.671 0.000
-0.023 -2.301 4.186
Pm H Au
1 2 2
direct
0.000 0.000 0.000
0.000 0.333 0.666
0.000 0.667 0.334
0.500 0.334 0.672
0.500 0.666 0.328
```

***

Record 3
Simulated powder XRD pattern
Compound: NdPuU2As4
Radiation: CuKα
Structure: a GGA-PBE-relaxed structure

Principal peaks in the range 5° ≤ 2θ ≤ 70°, by angle:
2θ 15.1, intensity 1.0
2θ 16.9, intensity 3.0
2θ 26.4, intensity 39.5
2θ 30.5, intensity 100.0
2θ 35.1, intensity 1.1
2θ 41.5, intensity 1.0
2θ 43.7, intensity 75.6
2θ 51.8, intensity 20.4
2θ 54.3, intensity 26.9
2θ 63.6, intensity 12.6

```
NdPuU2As4
1.0
-2.927 2.927 5.855
2.927 -2.927 5.855
2.927 2.927 -5.855
Nd Pu U As
1 1 2 4
direct
0.000 0.000 0.000
0.250 0.750 0.500
0.500 0.500 0.000
0.750 0.250 0.500
0.256 0.256 0.000
0.503 0.003 0.500
0.744 0.744 0.000
0.997 0.497 0.500
```

***

Record 4
Simulated powder XRD pattern
Compound: Nd2PtO4
Radiation: CuKα
Structure: a GGA-PBE-relaxed structure

Principal peaks in the range 5° ≤ 2θ ≤ 70°, by angle:
2θ 13.7, intensity 4.1
2θ 30.4, intensity 100.0
2θ 31.4, intensity 37.2
2θ 42.0, intensity 10.1
2θ 45.0, intensity 21.3
2θ 53.3, intensity 21.1
2θ 55.3, intensity 40.2
2θ 63.2, intensity 11.4
2θ 65.5, intensity 6.4
2θ 69.5, intensity 8.2

```
Nd2PtO4
1.0
6.459 -2.850 0.000
6.459 2.850 0.000
0.000 0.000 5.697
Nd Pt O
4 2 8
direct
0.157 0.157 0.000
0.343 0.343 0.500
0.657 0.657 0.500
0.843 0.843 0.000
0.000 0.000 0.500
0.500 0.500 0.000
0.009 0.491 0.750
0.182 0.818 0.818
0.318 0.682 0.318
0.491 0.009 0.250
0.509 0.991 0.750
0.682 0.318 0.682
0.818 0.182 0.182
0.991 0.509 0.250
```

***

Record 5
Simulated powder XRD pattern
Compound: Sm4P3F
Radiation: CuKα
Structure: a GGA-PBE-relaxed structure

Principal peaks in the range 5° ≤ 2θ ≤ 70°, by angle:
2θ 27.1, intensity 100.0
2θ 31.3, intensity 75.2
2θ 31.6, intensity 37.1
2θ 44.8, intensity 13.9
2θ 45.0, intensity 67.5
2θ 53.2, intensity 16.3
2θ 53.3, intensity 15.8
2θ 53.5, intensity 16.0
2θ 55.8, intensity 14.4
2θ 56.0, intensity 13.9

```
Sm4P3F
1.0
4.030 -5.670 0.000
4.030 5.670 0.000
0.000 0.000 4.047
Sm P F
4 3 1
direct
0.240 0.240 0.499
0.249 0.751 0.000
0.751 0.249 0.000
0.760 0.760 0.499
0.000 0.000 0.000
0.000 0.500 0.500
0.500 0.000 0.500
0.500 0.500 0.002
```

***

Record 6
Simulated powder XRD pattern
Compound: PmGaPt4
Radiation: CuKα
Structure: a GGA-PBE-relaxed structure

Principal peaks in the range 5° ≤ 2θ ≤ 70°, by angle:
2θ 12.6, intensity 21.9
2θ 34.8, intensity 100.0
2θ 35.9, intensity 34.3
2θ 37.6, intensity 18.6
2θ 38.5, intensity 33.1
2θ 41.5, intensity 91.3
2θ 44.0, intensity 20.2
2θ 44.8, intensity 39.7
2θ 47.7, intensity 16.9
2θ 60.5, intensity 18.0

```
PmGaPt4
1.0
7.628 0.000 0.000
0.000 4.048 0.000
0.000 0.000 7.013
Pm Ga Pt
2 2 8
direct
0.250 0.000 0.143
0.750 0.000 0.857
0.250 0.000 0.725
0.750 0.000 0.275
0.000 0.000 0.500
0.050 0.500 0.807
0.250 0.500 0.454
0.450 0.500 0.807
0.500 0.000 0.500
0.550 0.500 0.193
0.750 0.500 0.546
0.950 0.500 0.193
```